The following is a calculated powder XRD pattern of SrLa2Mn3O9. It was derived from a PBE+U-relaxed structure, using a wavelength of 1.5418 Å.

Atomic structure:
```
data_SrLa2Mn3O9
_symmetry_space_group_name_H-M 'P -3 c 1'
_symmetry_Int_Tables_number 165
_symmetry_space_group_name_Hall '-P 3 2"c'
_cell_length_a 5.5817
_cell_length_b 5.5817
_cell_length_c 13.4992
_cell_angle_alpha 90.00
_cell_angle_beta 90.00
_cell_angle_gamma 120.00
loop_
_atom_site_label
_atom_site_fract_x
_atom_site_fract_y
_atom_site_fract_z
Sr1 0.0000 0.0000 0.2500
La1 0.3333 0.6667 0.0843
Mn1 0.0000 0.0000 0.0000
Mn2 0.3333 0.6667 0.3325
O1 0.0000 0.4573 0.2500
O2 0.1098 0.3367 0.9206
```

Largest 10 diffraction maxima, low angle first, 10 to 80 degrees two-theta:
- hkl 1 0 2, d = 3.930 Å, rel. 24
- hkl 1 1 0, d = 2.791 Å, rel. 97
- hkl 0 1 4, d = 2.767 Å, rel. 100
- hkl 0 2 2, d = 2.275 Å, rel. 25
- hkl 2 0 4, d = 1.965 Å, rel. 64
- hkl 3 0 0, d = 1.611 Å, rel. 22
- hkl 1 2 4, d = 1.607 Å, rel. 40
- hkl 1 0 8, d = 1.593 Å, rel. 19
- hkl 2 2 0, d = 1.395 Å, rel. 17
- hkl 0 2 8, d = 1.384 Å, rel. 18